The following is a calculated powder XRD pattern of TbY3Er. It was derived from a DFT-relaxed cell (PBE, Alexandria), using copper Kα.
Intensities are scaled so that the largest is 100.

Top 6 peaks for 5° ≤ 2θ ≤ 70°, in order of rising 2θ:
d (Å)	I (rel.)	(hkl)
3.150	24.1	2 0 -1
2.817	23.8	0 2 0
2.749	100.0	1 1 2
1.818	19.6	3 0 1
1.613	19.8	1 3 2
1.528	22.0	3 2 1

Structural model:
Unit cell a=6.2998 b=5.6337 c=9.6202 alpha=90.00 beta=109.08 gamma=90.00
Space group P2_1/m (No. 11)
Asymmetric unit:
Tb 0.0689 0.2500 0.2992 [2 per cell]
Y 0.1357 0.7500 0.0991 [2 per cell]
Y 0.2648 0.2500 0.7018 [2 per cell]
Y 0.3333 0.7500 0.5011 [2 per cell]
Er 0.4683 0.2500 0.0997 [2 per cell]